# 1
This entry pairs a crystal structure of LiCaSN with its theoretical powder diffraction line list. Radiation: Cu Kα (λ = 1.5418 Å). Structure: a DFT-relaxed cell (GGA-PBE, Alexandria).
No peak broadening, texture or thermal motion is included.

Principal peaks in the range 2θ = 10–80°, in order of rising 2θ:
2θ 18.96, d 4.679, I = 41
2θ 25.83, d 3.449, I = 100
2θ 35.94, d 2.499, I = 49
2θ 40.95, d 2.204, I = 32
2θ 44.09, d 2.054, I = 56
2θ 48.39, d 1.881, I = 16
2θ 51.80, d 1.765, I = 12
2θ 58.66, d 1.574, I = 14
2θ 59.92, d 1.544, I = 12
2θ 76.72, d 1.242, I = 14

Crystal structure
```
LiCaSN
1.0
2.0541 1.1859 4.6795
-2.0541 1.1859 4.6795
0.0000 -2.3718 4.6795
Li Ca S N
1 1 1 1
Cartesian
0.0000 0.0000 0.0000 Li
0.0000 0.0000 6.8140 Ca
0.0000 0.0000 3.6778 S
0.0000 0.0000 1.9004 N
```

=====

# 2
This entry pairs a crystal structure of LiCa3Si2N5 with its theoretical powder diffraction line list. Radiation: Cu Kα (λ = 1.5418 Å). Structure: a DFT-relaxed cell (GGA-PBE, Alexandria).
No peak broadening, texture or thermal motion is included.

Principal peaks in the range 2θ = 10–80°, in order of rising 2θ:
2θ 32.53, d 2.753, I = 27
2θ 32.89, d 2.723, I = 79
2θ 33.43, d 2.680, I = 54
2θ 34.39, d 2.608, I = 44
2θ 34.64, d 2.589, I = 100
2θ 36.06, d 2.491, I = 56
2θ 44.31, d 2.044, I = 30
2θ 50.74, d 1.799, I = 28
2θ 56.88, d 1.619, I = 29
2θ 67.81, d 1.382, I = 24

Crystal structure
```
LiCa3Si2N5
1.0
2.5898 -10.2604 0.0000
2.5898 10.2604 0.0000
-0.2052 0.0000 10.4314
Li Ca Si N
4 12 8 20
Cartesian
2.4359 7.6468 7.8236 Li
2.5385 3.1873 2.6079 Li
2.4359 -3.1873 7.8236 Li
2.5385 -7.6468 2.6079 Li
1.1391 4.4128 8.9119 Ca
1.1466 1.8406 6.7251 Ca
1.2235 0.3901 3.8385 Ca
1.1209 -0.3901 9.0542 Ca
1.2492 -1.8406 1.5094 Ca
1.2418 -4.4128 3.6962 Ca
3.7326 4.4128 6.7352 Ca
3.7251 1.8406 8.9220 Ca
3.8534 0.3901 1.3772 Ca
3.7508 -0.3901 6.5929 Ca
3.8278 -1.8406 3.7063 Ca
3.8352 -4.4128 1.5195 Ca
1.4924 6.2296 5.7101 Si
1.5292 2.1501 0.3925 Si
3.3793 6.2296 9.9370 Si
1.4266 -2.1501 5.6083 Si
3.5478 2.1501 4.8232 Si
1.5950 -6.2296 0.4944 Si
3.4452 -2.1501 10.0389 Si
3.4819 -6.2296 4.7213 Si
1.0542 4.6418 6.4311 N
1.7353 6.6391 9.5200 N
1.1900 2.0049 9.0725 N
1.1813 0.6807 1.2790 N
1.8447 2.6248 4.4208 N
1.0787 -0.6807 6.4947 N
3.1365 6.6391 6.1272 N
1.2927 -2.0049 3.8568 N
1.1569 -4.6418 1.2154 N
3.2322 2.6248 0.7949 N
1.7421 -2.6248 9.6366 N
3.8175 4.6418 9.2160 N
3.6817 2.0049 6.5746 N
1.8379 -6.6391 4.3043 N
3.8956 0.6807 3.9367 N
3.1296 -2.6248 6.0106 N
3.7930 -0.6807 9.1524 N
3.7843 -2.0049 1.3589 N
3.2391 -6.6391 0.9114 N
3.9201 -4.6418 4.0003 N
```

=====

# 3
This entry pairs a crystal structure of LiCaTa2N4 with its theoretical powder diffraction line list. Radiation: Cu Kα (λ = 1.5418 Å). Structure: a DFT-relaxed cell (GGA-PBE, Alexandria).
No peak broadening, texture or thermal motion is included.

Principal peaks in the range 2θ = 10–80°, in order of rising 2θ:
2θ 16.56, d 5.352, I = 100
2θ 29.35, d 3.044, I = 44
2θ 30.38, d 2.943, I = 99
2θ 33.88, d 2.646, I = 53
2θ 34.47, d 2.602, I = 42
2θ 38.42, d 2.343, I = 56
2θ 38.89, d 2.315, I = 29
2θ 42.07, d 2.148, I = 45
2θ 45.84, d 1.980, I = 31
2θ 52.24, d 1.751, I = 32

Crystal structure
```
LiCaTa2N4
1.0
1.5914 -5.2034 0.0000
1.5914 5.2034 0.0000
0.0000 0.0000 10.7033
Li Ca Ta N
2 2 4 8
Cartesian
1.5914 3.4411 8.0275 Li
1.5914 -3.4411 2.6758 Li
1.5914 4.1035 2.6758 Ca
1.5914 -4.1035 8.0275 Ca
1.5914 1.3462 0.6040 Ta
1.5914 1.3462 4.7477 Ta
1.5914 -1.3462 5.9556 Ta
1.5914 -1.3462 10.0993 Ta
0.0000 0.0000 0.0000 N
0.0000 0.0000 5.3517 N
1.5914 2.4205 6.4863 N
1.5914 2.4205 9.5687 N
1.5914 0.7533 2.6758 N
1.5914 -0.7533 8.0275 N
1.5914 -2.4205 1.1346 N
1.5914 -2.4205 4.2171 N
```

=====

# 4
This entry pairs a crystal structure of LiCa2VN4 with its theoretical powder diffraction line list. Radiation: Cu Kα (λ = 1.5418 Å). Structure: a DFT-relaxed cell (GGA-PBE, Alexandria).
No peak broadening, texture or thermal motion is included.

Principal peaks in the range 2θ = 10–80°, in order of rising 2θ:
2θ 15.75, d 5.626, I = 20
2θ 20.06, d 4.427, I = 39
2θ 20.16, d 4.405, I = 33
2θ 31.81, d 2.813, I = 21
2θ 32.08, d 2.790, I = 40
2θ 33.71, d 2.659, I = 100
2θ 44.01, d 2.057, I = 22
2θ 45.81, d 1.981, I = 32
2θ 57.90, d 1.593, I = 20
2θ 58.23, d 1.584, I = 19

Crystal structure
```
LiCa2VN4
1.0
7.1746 0.0000 0.0000
0.0000 5.6255 0.0000
0.0000 0.0000 5.5798
Li Ca V N
2 4 2 8
Cartesian
0.0000 1.3806 0.0000 Li
3.5873 4.2449 2.7899 Li
1.7640 4.4348 0.0114 Ca
1.8233 1.1908 2.8013 Ca
5.3512 1.1908 2.8013 Ca
5.4106 4.4348 0.0114 Ca
0.0000 4.3972 2.7882 V
3.5873 1.2284 5.5781 V
0.0000 5.5270 4.1755 N
0.0000 5.5488 1.4200 N
1.5900 3.5158 2.7674 N
1.9972 2.1097 5.5572 N
3.5873 0.0767 4.2099 N
3.5873 0.0985 1.3856 N
5.1773 2.1097 5.5572 N
5.5845 3.5158 2.7674 N
```

=====

# 5
This entry pairs a crystal structure of NaLiCa4 with its theoretical powder diffraction line list. Radiation: Cu Kα (λ = 1.5418 Å). Structure: a DFT-relaxed cell (GGA-PBE, Alexandria).
No peak broadening, texture or thermal motion is included.

Principal peaks in the range 2θ = 10–80°, in order of rising 2θ:
2θ 23.32, d 3.815, I = 22
2θ 25.70, d 3.466, I = 14
2θ 29.27, d 3.051, I = 100
2θ 31.11, d 2.875, I = 8
2θ 31.99, d 2.798, I = 45
2θ 45.22, d 2.005, I = 11
2θ 45.87, d 1.978, I = 15
2θ 50.11, d 1.820, I = 15
2θ 55.35, d 1.660, I = 29
2θ 56.22, d 1.636, I = 10

Crystal structure
```
NaLiCa4
1.0
3.9566 0.0000 0.0000
0.0000 3.9566 0.0000
0.0000 0.0000 14.3757
Na Li Ca
1 1 4
Cartesian
0.0000 0.0000 0.0000 Na
1.9783 1.9783 7.1878 Li
0.0000 0.0000 5.2233 Ca
0.0000 0.0000 9.1524 Ca
1.9783 1.9783 2.5230 Ca
1.9783 1.9783 11.8526 Ca
```

=====

# 6
This entry pairs a crystal structure of NaLiCa with its theoretical powder diffraction line list. Radiation: Cu Kα (λ = 1.5418 Å). Structure: a DFT-relaxed cell (GGA-PBE, Alexandria).
No peak broadening, texture or thermal motion is included.

Principal peaks in the range 2θ = 10–80°, in order of rising 2θ:
2θ 10.61, d 8.336, I = 100
2θ 15.95, d 5.557, I = 18
2θ 26.74, d 3.334, I = 54
2θ 27.30, d 3.267, I = 89
2θ 29.93, d 2.986, I = 42
2θ 30.07, d 2.972, I = 81
2θ 30.75, d 2.908, I = 90
2θ 31.00, d 2.885, I = 44
2θ 37.14, d 2.421, I = 22
2θ 48.14, d 1.890, I = 45

Crystal structure
```
NaLiCa
1.0
3.2703 -1.8922 0.0000
3.2703 1.8922 0.0000
-2.3578 0.0000 16.6723
Na Li Ca
2 2 2
Cartesian
1.0651 0.0000 1.5465 Na
3.1177 0.0000 15.1258 Na
1.0099 0.0144 7.3312 Li
3.1729 0.0144 9.3411 Li
-1.2086 0.0123 11.9712 Ca
5.3914 0.0123 4.7011 Ca
```

=====

# 7
This entry pairs a crystal structure of NaLiCa2 with its theoretical powder diffraction line list. Radiation: Cu Kα (λ = 1.5418 Å). Structure: a DFT-relaxed cell (GGA-PBE, Alexandria).
No peak broadening, texture or thermal motion is included.

Principal peaks in the range 2θ = 10–80°, in order of rising 2θ:
2θ 15.24, d 5.814, I = 50
2θ 26.99, d 3.303, I = 44
2θ 28.79, d 3.101, I = 47
2θ 29.82, d 2.996, I = 100
2θ 30.76, d 2.907, I = 32
2θ 32.42, d 2.762, I = 47
2θ 37.40, d 2.404, I = 22
2θ 47.46, d 1.916, I = 32
2θ 50.09, d 1.821, I = 27
2θ 57.62, d 1.600, I = 28

Crystal structure
```
NaLiCa2
1.0
1.9157 1.1060 11.6282
-1.9157 1.1060 11.6282
0.0000 -2.2121 11.6282
Na Li Ca
1 1 2
Cartesian
0.0000 0.0000 0.0000 Na
0.0000 0.0000 29.0813 Li
0.0000 0.0000 8.4833 Ca
0.0000 0.0000 14.7870 Ca
```